(1)
NiGeH12O6F6: simulated powder diffractogram (λ = 1.5418 Å (Cu Kα)), based on DFT lattice parameters and positions (PBE+U).

Most intense lines, 2θ from 10° to 90°, by angle:
two_theta	I_rel
18.2	1000
20.9	601
27.9	124
29.5	128
33.5	345
46.6	175
46.9	93
49.5	102
50.7	89
54.1	152

Structural model:
abc: 6.510 6.510 6.510
angles: 96.79 96.79 96.79
Element x y z (fractional)
Ni 0.000 0.000 0.000
Ge 0.500 0.500 0.500
H 0.056 0.201 0.393
H 0.183 0.813 0.698
H 0.187 0.302 0.817
H 0.201 0.393 0.056
H 0.302 0.817 0.187
H 0.393 0.056 0.201
H 0.607 0.944 0.799
H 0.698 0.183 0.813
H 0.799 0.607 0.944
H 0.813 0.698 0.183
H 0.817 0.187 0.302
H 0.944 0.799 0.607
O 0.058 0.882 0.706
O 0.118 0.294 0.942
O 0.294 0.942 0.118
O 0.706 0.058 0.882
O 0.882 0.706 0.058
O 0.942 0.118 0.294
F 0.265 0.349 0.564
F 0.349 0.564 0.265
F 0.436 0.735 0.651
F 0.564 0.265 0.349
F 0.651 0.436 0.735
F 0.735 0.651 0.436

(2)
K2MnP2H2O8F2: simulated powder diffractogram (λ = 1.5418 Å (Cu Kα)), based on DFT lattice parameters and positions (PBE+U).

Most intense lines, 2θ from 10° to 90°, by angle:
two_theta	I_rel
12.8	1000
14.1	414
17.8	266
26.3	290
26.4	274
28.7	353
29.0	334
30.5	254
31.0	208
35.7	267

Structural model:
abc: 4.662 8.264 12.545
angles: 89.69 88.82 89.38
Element x y z (fractional)
K 0.008 0.104 0.193
K 0.011 0.396 0.699
K 0.989 0.604 0.301
K 0.992 0.896 0.807
Mn 0.000 0.000 0.500
Mn 0.000 0.500 0.000
P 0.497 0.725 0.088
P 0.500 0.223 0.406
P 0.500 0.777 0.594
P 0.503 0.275 0.912
H 0.440 0.598 0.470
H 0.442 0.909 0.966
H 0.558 0.091 0.034
H 0.560 0.402 0.530
O 0.255 0.905 0.605
O 0.257 0.597 0.101
O 0.259 0.183 0.489
O 0.260 0.315 0.995
O 0.337 0.880 0.031
O 0.348 0.621 0.539
O 0.403 0.273 0.297
O 0.406 0.224 0.804
O 0.594 0.776 0.196
O 0.597 0.727 0.703
O 0.652 0.379 0.461
O 0.663 0.120 0.969
O 0.740 0.685 0.005
O 0.741 0.817 0.511
O 0.743 0.403 0.899
O 0.745 0.095 0.395
F 0.176 0.896 0.385
F 0.179 0.595 0.884
F 0.821 0.405 0.116
F 0.824 0.104 0.615

(3)
KMoH8N2F6: simulated powder diffractogram (λ = 1.5418 Å (Cu Kα)), based on DFT lattice parameters and positions (PBE+U).

Most intense lines, 2θ from 10° to 90°, by angle:
two_theta	I_rel
16.5	547
19.0	1000
27.0	802
38.6	587
43.4	470
47.8	242
50.9	134
55.7	321
59.4	218
76.4	143

Structural model:
abc: 6.597 6.597 6.597
angles: 60.00 60.00 60.00
Element x y z (fractional)
K 0.000 0.000 0.000
Mo 0.500 0.500 0.500
H 0.058 0.314 0.314
H 0.314 0.058 0.314
H 0.314 0.314 0.058
H 0.314 0.314 0.314
H 0.686 0.686 0.686
H 0.686 0.686 0.942
H 0.686 0.942 0.686
H 0.942 0.686 0.686
N 0.250 0.250 0.250
N 0.750 0.750 0.750
F 0.276 0.276 0.724
F 0.276 0.724 0.276
F 0.276 0.724 0.724
F 0.724 0.276 0.276
F 0.724 0.276 0.724
F 0.724 0.724 0.276

(4)
K3Mo4H6O16F: simulated powder diffractogram (λ = 1.5418 Å (Cu Kα)), based on DFT lattice parameters and positions (PBE+U).

Most intense lines, 2θ from 10° to 90°, by angle:
two_theta	I_rel
12.2	510
13.0	1000
15.2	366
23.1	273
25.9	552
26.2	833
27.5	277
28.7	575
31.2	509
42.8	276

Structural model:
abc: 8.124 10.604 10.719
angles: 103.99 96.60 106.43
Element x y z (fractional)
K 0.084 0.473 0.321
K 0.181 0.858 0.030
K 0.319 0.897 0.669
K 0.681 0.103 0.331
K 0.819 0.142 0.970
K 0.916 0.527 0.679
Mo 0.143 0.246 0.677
Mo 0.275 0.479 0.989
Mo 0.395 0.212 0.003
Mo 0.406 0.561 0.707
Mo 0.594 0.439 0.293
Mo 0.605 0.788 0.997
Mo 0.725 0.521 0.011
Mo 0.857 0.754 0.323
H 0.048 0.185 0.339
H 0.089 0.174 0.200
H 0.299 0.739 0.415
H 0.312 0.025 0.394
H 0.370 0.177 0.392
H 0.479 0.750 0.375
H 0.521 0.250 0.625
H 0.630 0.823 0.608
H 0.688 0.975 0.606
H 0.701 0.261 0.585
H 0.911 0.826 0.800
H 0.952 0.815 0.661
O 0.002 0.739 0.450
O 0.004 0.194 0.254
O 0.094 0.412 0.054
O 0.175 0.089 0.618
O 0.188 0.464 0.809
O 0.208 0.140 0.063
O 0.251 0.581 0.589
O 0.290 0.281 0.876
O 0.327 0.082 0.335
O 0.342 0.660 0.060
O 0.362 0.361 0.651
O 0.396 0.394 0.345
O 0.404 0.805 0.404
O 0.428 0.734 0.837
O 0.437 0.070 0.908
O 0.457 0.440 0.097
O 0.543 0.560 0.903
O 0.563 0.930 0.092
O 0.572 0.266 0.163
O 0.596 0.195 0.596
O 0.604 0.606 0.655
O 0.638 0.639 0.349
O 0.658 0.340 0.940
O 0.673 0.918 0.665
O 0.710 0.719 0.124
O 0.749 0.419 0.411
O 0.792 0.860 0.937
O 0.812 0.536 0.191
O 0.825 0.911 0.382
O 0.906 0.588 0.946
O 0.996 0.806 0.746
O 0.998 0.261 0.550
F 0.044 0.803 0.226
F 0.956 0.197 0.774

(5)
K2MoHOF5: simulated powder diffractogram (λ = 1.5418 Å (Cu Kα)), based on DFT lattice parameters and positions (PBE+U).

Most intense lines, 2θ from 10° to 90°, by angle:
two_theta	I_rel
16.4	977
17.6	933
19.4	906
19.7	1000
19.9	791
26.3	574
27.8	981
28.1	784
39.4	466
40.1	629

Structural model:
abc: 6.364 6.364 9.193
angles: 94.38 94.38 90.03
Element x y z (fractional)
K 0.000 0.000 0.000
K 0.039 0.537 0.291
K 0.463 0.961 0.709
K 0.513 0.487 0.000
Mo 0.538 0.022 0.239
Mo 0.978 0.462 0.761
H 0.000 0.000 0.500
H 0.432 0.568 0.500
O 0.555 0.008 0.427
O 0.992 0.445 0.573
F 0.199 0.690 0.809
F 0.202 0.249 0.808
F 0.310 0.801 0.191
F 0.320 0.248 0.225
F 0.514 0.033 0.013
F 0.751 0.798 0.192
F 0.752 0.680 0.775
F 0.762 0.238 0.224
F 0.762 0.238 0.776
F 0.967 0.486 0.987

(6)
K2MoHO3F4: simulated powder diffractogram (λ = 1.5418 Å (Cu Kα)), based on DFT lattice parameters and positions (PBE+U).

Most intense lines, 2θ from 10° to 90°, by angle:
two_theta	I_rel
16.2	502
16.8	631
17.7	360
19.3	911
19.7	1000
26.7	611
28.3	378
28.6	376
39.1	327
39.9	615

Structural model:
abc: 6.382 6.409 18.516
angles: 90.00 95.44 90.00
Element x y z (fractional)
K 0.198 0.158 0.107
K 0.198 0.342 0.607
K 0.248 0.650 0.253
K 0.248 0.850 0.753
K 0.752 0.150 0.247
K 0.752 0.350 0.747
K 0.802 0.658 0.393
K 0.802 0.842 0.893
Mo 0.289 0.165 0.371
Mo 0.289 0.335 0.871
Mo 0.711 0.665 0.129
Mo 0.711 0.835 0.629
H 0.212 0.679 0.487
H 0.212 0.821 0.987
H 0.788 0.179 0.013
H 0.788 0.321 0.513
O 0.237 0.186 0.460
O 0.237 0.314 0.960
O 0.413 0.582 0.118
O 0.413 0.918 0.618
O 0.449 0.598 0.873
O 0.449 0.902 0.373
O 0.551 0.098 0.627
O 0.551 0.402 0.127
O 0.587 0.082 0.382
O 0.587 0.418 0.882
O 0.763 0.686 0.040
O 0.763 0.814 0.540
F 0.045 0.142 0.839
F 0.045 0.358 0.339
F 0.060 0.547 0.843
F 0.060 0.953 0.343
F 0.308 0.174 0.259
F 0.308 0.326 0.759
F 0.437 0.060 0.869
F 0.437 0.440 0.369
F 0.563 0.560 0.631
F 0.563 0.940 0.131
F 0.692 0.674 0.241
F 0.692 0.826 0.741
F 0.940 0.047 0.657
F 0.940 0.453 0.157
F 0.955 0.642 0.661
F 0.955 0.858 0.161

(7)
K3Mo4H6O16F: simulated powder diffractogram (λ = 1.5418 Å (Cu Kα)), based on DFT lattice parameters and positions (PBE+U).

Most intense lines, 2θ from 10° to 90°, by angle:
two_theta	I_rel
10.6	596
11.6	375
12.2	1000
14.8	335
25.5	496
26.2	272
26.3	535
28.6	291
30.8	280
35.2	305

Structural model:
abc: 8.124 10.604 10.719
angles: 103.99 96.60 106.43
Element x y z (fractional)
K 0.030 0.181 0.358
K 0.321 0.084 0.973
K 0.331 0.681 0.603
K 0.669 0.319 0.397
K 0.679 0.916 0.027
K 0.970 0.819 0.642
Mo 0.003 0.395 0.712
Mo 0.011 0.725 0.021
Mo 0.293 0.594 0.939
Mo 0.323 0.857 0.254
Mo 0.677 0.143 0.746
Mo 0.707 0.406 0.061
Mo 0.989 0.275 0.979
Mo 0.997 0.605 0.288
H 0.200 0.089 0.674
H 0.339 0.048 0.685
H 0.375 0.479 0.250
H 0.392 0.370 0.677
H 0.394 0.312 0.525
H 0.415 0.299 0.239
H 0.585 0.701 0.761
H 0.606 0.688 0.475
H 0.608 0.630 0.323
H 0.625 0.521 0.750
H 0.661 0.952 0.315
H 0.800 0.911 0.326
O 0.054 0.094 0.912
O 0.060 0.342 0.160
O 0.063 0.208 0.640
O 0.092 0.563 0.430
O 0.097 0.457 0.940
O 0.124 0.710 0.219
O 0.163 0.572 0.766
O 0.191 0.812 0.036
O 0.254 0.004 0.694
O 0.335 0.327 0.582
O 0.345 0.396 0.894
O 0.349 0.638 0.139
O 0.382 0.825 0.411
O 0.404 0.404 0.305
O 0.411 0.749 0.919
O 0.450 0.002 0.239
O 0.550 0.998 0.761
O 0.589 0.251 0.081
O 0.596 0.596 0.695
O 0.618 0.175 0.589
O 0.651 0.362 0.861
O 0.655 0.604 0.106
O 0.665 0.673 0.418
O 0.746 0.996 0.306
O 0.809 0.188 0.964
O 0.837 0.428 0.234
O 0.876 0.290 0.781
O 0.903 0.543 0.060
O 0.908 0.437 0.570
O 0.937 0.792 0.360
O 0.940 0.658 0.840
O 0.946 0.906 0.088
F 0.226 0.044 0.303
F 0.774 0.956 0.697

(8)
KH8WN2O3F3: simulated powder diffractogram (λ = 1.5418 Å (Cu Kα)), based on DFT lattice parameters and positions (PBE+U).

Most intense lines, 2θ from 10° to 90°, by angle:
two_theta	I_rel
16.5	328
16.8	1000
18.9	480
19.6	739
27.2	422
27.5	362
27.7	187
28.1	156
38.2	145
39.9	234

Structural model:
abc: 6.447 6.349 11.328
angles: 90.00 123.79 90.00
Element x y z (fractional)
K 0.000 0.242 0.000
K 0.000 0.758 0.500
H 0.064 0.232 0.671
H 0.064 0.768 0.171
H 0.259 0.426 0.779
H 0.259 0.574 0.279
H 0.280 0.169 0.842
H 0.280 0.831 0.342
H 0.368 0.223 0.727
H 0.368 0.777 0.227
H 0.697 0.283 0.295
H 0.697 0.717 0.795
H 0.714 0.319 0.152
H 0.714 0.681 0.652
H 0.727 0.064 0.218
H 0.727 0.936 0.718
H 0.969 0.246 0.304
H 0.969 0.754 0.804
W 0.509 0.278 0.503
W 0.509 0.722 0.003
N 0.244 0.261 0.755
N 0.244 0.739 0.255
N 0.775 0.229 0.243
N 0.775 0.771 0.743
O 0.266 0.305 0.308
O 0.266 0.695 0.808
O 0.672 0.187 0.693
O 0.672 0.813 0.193
O 0.691 0.493 0.024
O 0.691 0.507 0.524
F 0.271 0.430 0.534
F 0.271 0.570 0.034
F 0.302 0.010 0.969
F 0.302 0.990 0.469
F 0.724 0.089 0.473
F 0.724 0.911 0.973

Please write out number 1 again, unchanged.
NiGeH12O6F6: simulated powder diffractogram (λ = 1.5418 Å (Cu Kα)), based on DFT lattice parameters and positions (PBE+U).

Most intense lines, 2θ from 10° to 90°, by angle:
two_theta	I_rel
18.2	1000
20.9	601
27.9	124
29.5	128
33.5	345
46.6	175
46.9	93
49.5	102
50.7	89
54.1	152

Structural model:
abc: 6.510 6.510 6.510
angles: 96.79 96.79 96.79
Element x y z (fractional)
Ni 0.000 0.000 0.000
Ge 0.500 0.500 0.500
H 0.056 0.201 0.393
H 0.183 0.813 0.698
H 0.187 0.302 0.817
H 0.201 0.393 0.056
H 0.302 0.817 0.187
H 0.393 0.056 0.201
H 0.607 0.944 0.799
H 0.698 0.183 0.813
H 0.799 0.607 0.944
H 0.813 0.698 0.183
H 0.817 0.187 0.302
H 0.944 0.799 0.607
O 0.058 0.882 0.706
O 0.118 0.294 0.942
O 0.294 0.942 0.118
O 0.706 0.058 0.882
O 0.882 0.706 0.058
O 0.942 0.118 0.294
F 0.265 0.349 0.564
F 0.349 0.564 0.265
F 0.436 0.735 0.651
F 0.564 0.265 0.349
F 0.651 0.436 0.735
F 0.735 0.651 0.436